Theoretical powder XRD pattern of ThWF6 for λ = 1.5418 Å (Cu Kα), from DFT lattice parameters and positions (PBE+U).
Intensities are scaled so that the largest is 100.

Crystal structure
Cell: 4.0504 5.6701 6.6063 Å, 91.72 97.41 106.72°
Space group P-1 (No. 2)
Symmetry-distinct sites (fractional):
Th 0.0000 0.0000 0.0000
W 0.0000 0.5000 0.5000
F 0.0284 0.2387 0.7223
F 0.1612 0.2714 0.2936
F 0.4081 0.7718 0.9874

The 10 most intense peaks (2θ from 5° to 70°), by angle:
d [Å], I (rel.), (hkl)
4.323, 100, 0 1 -1
4.033, 83, 0 1 1
3.839, 83, 1 0 0
3.341, 46, -1 1 1
3.267, 41, 0 0 2
3.093, 31, 1 -1 1
2.689, 45, 1 1 -1
2.603, 21, 1 -2 0
2.432, 28, 1 1 1
1.787, 21, 1 -3 1